1.
For Li2Co3Ge4, DFT lattice parameters and positions (GGA-PBE) gives the simulated powder X-ray diffraction pattern in this record (Cu Ka).
Peak positions follow from Bragg's law for the DFT cell and can differ from measured ones.

Structural model:
a b c (Å): 7.386 6.534 5.027
angles (deg): 78.22 60.00 41.78
Fractional positions:
Li  0.112  0.112  0.888
Li  0.888  0.888  0.112
Co  0.000  0.000  0.500
Co  0.500  0.500  0.000
Co  0.500  0.500  0.500
Ge  0.173  0.514  0.486
Ge  0.486  0.827  0.173
Ge  0.514  0.173  0.827
Ge  0.827  0.486  0.514

Most intense lines, 5 to 70 degrees two-theta, in order of falling intensity:
d [Å], Position (°2θ), intensity
2.127, 42.50, 1000
4.163, 21.34, 845
4.309, 20.61, 596
2.082, 43.48, 446
1.784, 51.20, 362
2.000, 45.35, 332
1.388, 67.50, 242
1.960, 46.32, 236
2.589, 34.64, 211
2.028, 44.69, 179
2.377, 37.84, 166
2.459, 36.54, 158

=====

2.
For KS5F, DFT lattice parameters and positions (GGA-PBE) gives the simulated powder X-ray diffraction pattern in this record (Cu Ka).
Peak positions follow from Bragg's law for the DFT cell and can differ from measured ones.

Structural model:
a b c (Å): 4.291 6.267 8.434
angles (deg): 102.96 102.14 108.32
Fractional positions:
K  0.000  0.000  0.000
S  0.174  0.600  0.213
S  0.312  0.406  0.794
S  0.507  0.274  0.607
S  0.658  0.780  0.331
S  0.981  0.532  0.656
F  0.597  0.207  0.002

Most intense lines, 5 to 70 degrees two-theta, in order of falling intensity:
d [Å], Position (°2θ), intensity
3.828, 23.24, 1000
4.024, 22.09, 860
2.928, 30.53, 458
2.858, 31.30, 306
2.971, 30.08, 223
2.956, 30.24, 219
1.942, 46.78, 218
5.651, 15.68, 196
3.425, 26.01, 178
2.750, 32.57, 168
3.303, 26.99, 158
2.610, 34.36, 145

=====

3.
For Pm5HoI12, DFT lattice parameters and positions (GGA-PBE) gives the simulated powder X-ray diffraction pattern in this record (Cu Ka).
Peak positions follow from Bragg's law for the DFT cell and can differ from measured ones.

Structural model:
a b c (Å): 7.273 7.273 16.390
angles (deg): 90.02 90.02 120.04
Fractional positions:
Pm  0.000  0.000  0.000
Pm  0.167  0.833  0.500
Pm  0.333  0.667  0.000
Pm  0.667  0.333  0.000
Pm  0.833  0.167  0.500
Ho  0.500  0.500  0.500
I  0.000  0.333  0.876
I  0.000  0.667  0.124
I  0.176  0.176  0.621
I  0.176  0.500  0.379
I  0.333  0.000  0.876
I  0.334  0.334  0.124
I  0.500  0.176  0.379
I  0.500  0.824  0.621
I  0.666  0.666  0.876
I  0.667  0.000  0.124
I  0.824  0.500  0.621
I  0.824  0.824  0.379

Most intense lines, 5 to 70 degrees two-theta, in order of falling intensity:
d [Å], Position (°2θ), intensity
3.324, 26.82, 1000
3.027, 29.51, 916
8.195, 10.80, 848
2.435, 36.92, 516
2.082, 43.47, 503
2.719, 32.94, 382
2.184, 41.34, 321
3.549, 25.09, 307
2.100, 43.07, 191
1.563, 59.11, 178
2.049, 44.21, 176
1.661, 55.29, 167

=====

4.
For FeRe2Ir, DFT lattice parameters and positions (GGA-PBE) gives the simulated powder X-ray diffraction pattern in this record (Cu Ka).
Peak positions follow from Bragg's law for the DFT cell and can differ from measured ones.

Structural model:
a b c (Å): 4.145 5.189 5.189
angles (deg): 29.98 90.00 90.00
Fractional positions:
Fe  0.000  0.000  0.000
Re  0.000  0.747  0.747
Re  0.500  0.401  0.401
Ir  0.500  0.134  0.134

Most intense lines, 5 to 70 degrees two-theta, in order of falling intensity:
d [Å], Position (°2θ), intensity
2.199, 41.05, 1000
2.145, 42.13, 834
2.093, 43.23, 495
2.073, 43.67, 413
1.473, 63.13, 327
3.195, 27.93, 187
1.607, 57.35, 132
1.868, 48.74, 126
4.145, 21.43, 112
5.013, 17.69, 81
2.506, 35.83, 70
1.597, 57.72, 37

=====

5.
For Li3B8C8, DFT lattice parameters and positions (GGA-PBE) gives the simulated powder X-ray diffraction pattern in this record (Cu Ka).
Peak positions follow from Bragg's law for the DFT cell and can differ from measured ones.

Structural model:
a b c (Å): 2.728 2.728 24.995
angles (deg): 90.00 90.00 120.00
Fractional positions:
Li  0.000  0.000  0.000
Li  0.000  0.000  0.143
Li  0.000  0.000  0.621
B  0.333  0.667  0.214
B  0.333  0.667  0.421
B  0.333  0.667  0.691
B  0.333  0.667  0.926
B  0.667  0.333  0.070
B  0.667  0.333  0.342
B  0.667  0.333  0.551
B  0.667  0.333  0.833
C  0.333  0.667  0.069
C  0.333  0.667  0.340
C  0.333  0.667  0.553
C  0.333  0.667  0.832
C  0.667  0.333  0.211
C  0.667  0.333  0.422
C  0.667  0.333  0.689
C  0.667  0.333  0.929

Most intense lines, 5 to 70 degrees two-theta, in order of falling intensity:
d [Å], Position (°2θ), intensity
3.124, 28.57, 1000
4.166, 21.33, 626
6.249, 14.17, 517
1.885, 48.29, 476
2.363, 38.09, 441
1.364, 68.82, 397
12.497, 7.07, 314
3.571, 24.94, 236
2.055, 44.06, 231
1.785, 51.16, 168
2.499, 35.93, 160
1.970, 46.06, 110

=====

6.
For AcBeRh3, DFT lattice parameters and positions (GGA-PBE) gives the simulated powder X-ray diffraction pattern in this record (Cu Ka).
Peak positions follow from Bragg's law for the DFT cell and can differ from measured ones.

Structural model:
a b c (Å): 4.406 4.406 4.406
angles (deg): 90.00 90.00 90.00
Fractional positions:
Ac  0.000  0.000  0.000
Be  0.500  0.500  0.500
Rh  0.000  0.500  0.500
Rh  0.500  0.000  0.500
Rh  0.500  0.500  0.000

Most intense lines, 5 to 70 degrees two-theta, in order of falling intensity:
d [Å], Position (°2θ), intensity
2.544, 35.28, 1000
2.203, 40.97, 518
1.558, 59.33, 348
3.115, 28.65, 130
4.406, 20.15, 114
1.970, 46.07, 63
1.799, 50.76, 58
1.469, 63.33, 32
1.393, 67.19, 26

=====

7.
For Ti4PtS, DFT lattice parameters and positions (GGA-PBE) gives the simulated powder X-ray diffraction pattern in this record (Cu Ka).
Peak positions follow from Bragg's law for the DFT cell and can differ from measured ones.

Structural model:
a b c (Å): 6.268 5.784 5.798
angles (deg): 90.00 92.69 90.00
Fractional positions:
Ti  0.124  0.141  0.359
Ti  0.124  0.359  0.859
Ti  0.329  0.623  0.372
Ti  0.329  0.877  0.872
Ti  0.671  0.123  0.128
Ti  0.671  0.377  0.628
Ti  0.876  0.641  0.141
Ti  0.876  0.859  0.641
Pt  0.500  0.000  0.500
Pt  0.500  0.500  0.000
S  0.000  0.000  0.000
S  0.000  0.500  0.500

Most intense lines, 5 to 70 degrees two-theta, in order of falling intensity:
d [Å], Position (°2θ), intensity
6.261, 14.15, 1000
3.375, 26.41, 968
4.093, 21.71, 960
2.448, 36.72, 885
3.479, 25.60, 817
2.894, 30.90, 799
2.677, 33.48, 779
1.738, 52.66, 635
1.885, 48.29, 597
2.625, 34.15, 433
2.124, 42.56, 390
2.046, 44.26, 365

=====

8.
For NaMgTlPb3, DFT lattice parameters and positions (GGA-PBE) gives the simulated powder X-ray diffraction pattern in this record (Cu Ka).
Peak positions follow from Bragg's law for the DFT cell and can differ from measured ones.

Structural model:
a b c (Å): 9.848 3.561 10.435
angles (deg): 90.00 108.36 90.00
Fractional positions:
Na  0.131  0.250  0.287
Na  0.869  0.750  0.713
Mg  0.377  0.750  0.877
Mg  0.623  0.250  0.123
Tl  0.123  0.250  0.629
Tl  0.877  0.750  0.371
Pb  0.134  0.250  0.956
Pb  0.372  0.750  0.542
Pb  0.388  0.750  0.196
Pb  0.612  0.250  0.804
Pb  0.628  0.250  0.458
Pb  0.866  0.750  0.044

Most intense lines, 5 to 70 degrees two-theta, in order of falling intensity:
d [Å], Position (°2θ), intensity
2.832, 31.59, 1000
2.487, 36.11, 692
2.844, 31.46, 507
2.737, 32.72, 446
2.337, 38.53, 287
1.728, 52.99, 267
4.858, 18.26, 228
5.089, 17.43, 220
1.679, 54.66, 217
3.351, 26.60, 184
1.492, 62.21, 160
1.509, 61.44, 155